(1)
Structure and theoretical powder XRD pattern of LiGa5O8 (a crystal structure in Alexandria, relaxed with PBE; Cu Ka).
Peak positions follow from Bragg's law for the DFT cell and can differ from measured ones.

Structural model:
a b c (Å): 5.942 5.841 8.290
angles (deg): 90.00 90.00 90.00
Positions (direct):
Li 0.000 0.000 0.000
Li 0.500 0.000 0.500
Ga 0.000 0.257 0.384
Ga 0.000 0.500 0.000
Ga 0.000 0.743 0.616
Ga 0.250 0.230 0.750
Ga 0.250 0.770 0.250
Ga 0.500 0.257 0.116
Ga 0.500 0.500 0.500
Ga 0.500 0.743 0.884
Ga 0.750 0.230 0.750
Ga 0.750 0.770 0.250
O 0.000 0.009 0.745
O 0.000 0.482 0.757
O 0.000 0.518 0.243
O 0.000 0.991 0.255
O 0.238 0.259 0.988
O 0.238 0.741 0.012
O 0.262 0.259 0.512
O 0.262 0.741 0.488
O 0.500 0.009 0.755
O 0.500 0.482 0.743
O 0.500 0.518 0.257
O 0.500 0.991 0.245
O 0.738 0.259 0.512
O 0.738 0.741 0.488
O 0.762 0.259 0.988
O 0.762 0.741 0.012

Top 6 peaks for 10° ≤ 2θ ≤ 90°, low angle first:
- (1 1 2), 30.42 deg, rel. 558
- (2 1 1), 35.59 deg, rel. 1000
- (1 2 1), 35.91 deg, rel. 787
- (0 1 3), 35.95 deg, rel. 546
- (2 3 1), 57.70 deg, rel. 348
- (2 2 4), 63.31 deg, rel. 651

---

(2)
Structure and theoretical powder XRD pattern of MgAs (a crystal structure in Alexandria, relaxed with PBE; Cu Ka).
Peak positions follow from Bragg's law for the DFT cell and can differ from measured ones.

Structural model:
a b c (Å): 9.175 9.175 5.243
angles (deg): 90.00 90.00 90.00
Positions (direct):
Mg 0.017 0.732 0.000
Mg 0.157 0.384 0.500
Mg 0.268 0.017 0.000
Mg 0.384 0.843 0.500
Mg 0.616 0.157 0.500
Mg 0.732 0.983 0.000
Mg 0.843 0.616 0.500
Mg 0.983 0.268 0.000
As 0.151 0.670 0.500
As 0.263 0.293 0.000
As 0.293 0.737 0.000
As 0.330 0.151 0.500
As 0.670 0.849 0.500
As 0.707 0.263 0.000
As 0.737 0.707 0.000
As 0.849 0.330 0.500

Top 6 peaks for 10° ≤ 2θ ≤ 90°, low angle first:
- (2 0 0), 19.35 deg, rel. 1000
- (1 2 1), 27.60 deg, rel. 367
- (0 0 2), 34.20 deg, rel. 431
- (3 1 1), 35.34 deg, rel. 298
- (2 0 2), 39.59 deg, rel. 312
- (4 0 1), 43.04 deg, rel. 455

---

(3)
Structure and theoretical powder XRD pattern of Hf3Sc2Si4 (a crystal structure in Alexandria, relaxed with PBE; Cu Ka).
Peak positions follow from Bragg's law for the DFT cell and can differ from measured ones.

Structural model:
a b c (Å): 7.122 7.133 6.892
angles (deg): 90.00 108.33 90.00
Positions (direct):
Hf 0.000 0.000 0.000
Hf 0.000 0.500 0.500
Hf 0.250 0.183 0.753
Hf 0.250 0.317 0.253
Hf 0.750 0.683 0.747
Hf 0.750 0.817 0.247
Sc 0.309 0.673 0.928
Sc 0.309 0.827 0.428
Sc 0.691 0.173 0.572
Sc 0.691 0.327 0.072
Si 0.016 0.625 0.130
Si 0.016 0.875 0.630
Si 0.419 0.026 0.136
Si 0.419 0.474 0.636
Si 0.581 0.526 0.364
Si 0.581 0.974 0.864
Si 0.984 0.125 0.370
Si 0.984 0.375 0.870

Top 6 peaks for 10° ≤ 2θ ≤ 90°, low angle first:
- (1 1 0), 18.08 deg, rel. 1000
- (1 1 -2), 29.15 deg, rel. 474
- (2 0 -2), 31.52 deg, rel. 524
- (1 1 2), 36.32 deg, rel. 576
- (2 2 0), 36.61 deg, rel. 869
- (1 3 -1), 41.16 deg, rel. 467